# VH14C4NO2F3
Simulated PXRD pattern, Cu Kα (weighted mean of Kα1 and Kα2). Input: DFT lattice parameters and positions (PBE+U).
Neutral-atom scattering factors, no anomalous dispersion.

Atomic structure:
```
data_VH14C4NO2F3
_space_group_name_H-M_alt 'P -1'
_space_group_IT_number 2
_space_group_name_Hall '-P 1'
_cell_length_a 6.9755
_cell_length_b 8.2653
_cell_length_c 9.2843
_cell_angle_alpha 65.81
_cell_angle_beta 83.96
_cell_angle_gamma 72.35
loop_
_atom_site_label
_atom_site_type_symbol
_atom_site_fract_x
_atom_site_fract_y
_atom_site_fract_z
V1 V 0.1818 0.4898 0.3690
H1 H 0.0555 0.1820 0.0427
H2 H 0.0721 0.9724 0.2172
H3 H 0.1142 0.1707 0.2313
H4 H 0.1549 0.8352 0.5704
H5 H 0.1561 0.5602 0.8010
H6 H 0.1831 0.0366 0.5887
H7 H 0.2247 0.5397 0.9909
H8 H 0.2385 0.3126 0.6665
H9 H 0.2603 0.0098 0.8524
H10 H 0.2821 0.7942 0.0202
H11 H 0.3971 0.8371 0.6180
H12 H 0.4084 0.5498 0.8377
H13 H 0.4614 0.3383 0.6158
H14 H 0.4693 0.8098 0.8691
C1 C 0.0301 0.1240 0.1702
C2 C 0.2343 0.8854 0.6316
C3 C 0.2492 0.5974 0.8634
C4 C 0.3100 0.8588 0.8938
N1 N 0.1905 0.8047 0.8046
O1 O 0.2838 0.3640 0.2660
O2 O 0.3410 0.3181 0.5821
F1 F 0.0283 0.6331 0.5219
F2 F 0.0333 0.3152 0.7769
F3 F 0.3475 0.6563 0.3134
```

Peak list (10 most intense, 10° ≤ 2θ ≤ 90°, in order of falling intensity)
hkl 0 1 0, 12.3 deg, I = 100
hkl 1 1 1, 15.7 deg, I = 71
hkl 0 0 1, 10.4 deg, I = 63
hkl 1 2 1, 22.5 deg, I = 47
hkl 1 0 0, 13.3 deg, I = 37
hkl 0 1 -1, 19.1 deg, I = 32
hkl -1 1 2, 25.5 deg, I = 25
hkl -1 1 1, 20.6 deg, I = 23
hkl 0 1 1, 12.5 deg, I = 21
hkl 1 1 2, 22.0 deg, I = 16